The following is a theoretical powder diffractogram of Li4P2O7. It was derived from a DFT-relaxed cell (PBE, Alexandria), using copper Kα.

Cell and atoms:
```
Li4P2O7
1.0
5.2557 0.0000 0.0000
0.0000 14.1742 0.0000
-5.2324 0.0000 7.9787
Li P O
16 8 28
Direct
0.1047 0.1037 0.4339
0.1047 0.3963 0.9339
0.1478 0.7159 0.9500
0.1478 0.7841 0.4500
0.2564 0.1758 0.9537
0.2564 0.3242 0.4537
0.2608 0.5587 0.4409
0.2608 0.9413 0.9409
0.7392 0.0587 0.0591
0.7392 0.4413 0.5591
0.7436 0.6758 0.5463
0.7436 0.8242 0.0463
0.8522 0.2159 0.5500
0.8522 0.2841 0.0500
0.8953 0.6037 0.0661
0.8953 0.8963 0.5661
0.4364 0.0507 0.2624
0.4364 0.4493 0.7624
0.4439 0.6660 0.7616
0.4439 0.8340 0.2616
0.5561 0.1660 0.7384
0.5561 0.3340 0.2384
0.5636 0.5507 0.2376
0.5636 0.9493 0.7376
0.1426 0.0678 0.2546
0.1426 0.4322 0.7546
0.1487 0.6871 0.7496
0.1487 0.8129 0.2496
0.2787 0.2187 0.5954
0.2787 0.2813 0.0954
0.2947 0.6097 0.1081
0.2947 0.8903 0.6081
0.3865 0.0537 0.0873
0.3865 0.4463 0.5873
0.4084 0.6715 0.5906
0.4084 0.8285 0.0906
0.4482 0.0574 0.6675
0.4482 0.4426 0.1675
0.5518 0.5574 0.8325
0.5518 0.9426 0.3325
0.5916 0.1715 0.9094
0.5916 0.3285 0.4094
0.6135 0.5537 0.4127
0.6135 0.9463 0.9127
0.7053 0.1097 0.3919
0.7053 0.3903 0.8919
0.7213 0.7187 0.9046
0.7213 0.7813 0.4046
0.8513 0.1871 0.7504
0.8513 0.3129 0.2504
0.8574 0.5678 0.2454
0.8574 0.9322 0.7454
```

Largest 6 diffraction maxima, sorted by position, 2θ from 15° to 90°:
2θ (°), intensity
20.2, 100.0
22.3, 25.7
27.5, 83.4
28.8, 30.2
34.1, 22.0
37.8, 11.3